Record 1
Diffraction record for PtN2F6. The powder X-ray diffraction pattern is simulated, not measured: it uses the PBE geometry in the Materials Project and CuKα.
Lines closer than 0.1° are merged.

Principal peaks in the range 2θ = 5–70°, low angle first:
hkl 1 1 1, 2θ 18.85, I = 100; hkl 2 0 0, 2θ 21.80, I = 53; hkl 2 2 0, 2θ 31.02, I = 35; hkl 3 1 1, 2θ 36.55, I = 49; hkl 4 0 0, 2θ 44.44, I = 21; hkl 3 3 1, 2θ 48.68, I = 19; hkl 4 2 0, 2θ 50.03, I = 24; hkl 4 2 2, 2θ 55.19, I = 14; hkl 5 1 1, 2θ 58.85, I = 19; hkl 5 3 1, 2θ 68.02, I = 19

Structure:
```
data_PtN2F6
_space_group_name_H-M_alt 'F m -3 m'
_space_group_IT_number 225
_space_group_name_Hall '-F 4 2 3'
_cell_length_a 8.154
_cell_length_b 8.154
_cell_length_c 8.154
_cell_angle_alpha 90.00
_cell_angle_beta 90.00
_cell_angle_gamma 90.00
loop_
_atom_site_label
_atom_site_type_symbol
_atom_site_fract_x
_atom_site_fract_y
_atom_site_fract_z
Pt1 Pt 0.000 0.000 0.000
N1 N 0.250 0.250 0.250
F1 F 0.000 0.000 0.235
```

Record 2
Diffraction record for HgAu4. The powder X-ray diffraction pattern is simulated, not measured: it uses the PBE geometry in the Materials Project and CuKα.
Lines closer than 0.1° are merged.

Principal peaks in the range 2θ = 5–70°, low angle first:
hkl 0 0 3, 2θ 7.49, I = 1; hkl 0 0 12, 2θ 30.27, I = 1; hkl 0 1 5, 2θ 36.17, I = 100; hkl 0 0 15, 2θ 38.10, I = 28; hkl 1 0 10, 2θ 42.59, I = 63; hkl 1 0 13, 2θ 47.86, I = 1; hkl 0 1 17, 2θ 56.13, I = 1; hkl 1 1 0, 2θ 60.47, I = 23; hkl 0 1 20, 2θ 63.12, I = 19; hkl 1 0 22, 2θ 68.12, I = 1

Structure:
```
data_HgAu4
_space_group_name_H-M_alt 'R -3 m'
_space_group_IT_number 166
_space_group_name_Hall '-R 3 2"'
_cell_length_a 3.0617
_cell_length_b 3.0617
_cell_length_c 35.4292
_cell_angle_alpha 90.00
_cell_angle_beta 90.00
_cell_angle_gamma 120.00
loop_
_atom_site_label
_atom_site_type_symbol
_atom_site_fract_x
_atom_site_fract_y
_atom_site_fract_z
Hg1 Hg 0.0000 0.0000 0.0000
Au1 Au 0.0000 0.0000 0.1989
Au2 Au 0.0000 0.0000 0.4030
```

Record 3
Diffraction record for CoB. The powder X-ray diffraction pattern is simulated, not measured: it uses the PBE geometry in the Materials Project and CuKα.
Lines closer than 0.1° are merged.

Principal peaks in the range 2θ = 5–70°, low angle first:
hkl 2 0 0, 2θ 34.71, I = 27; hkl 0 1 1, 2θ 37.23, I = 72; hkl 1 1 1, 2θ 41.26, I = 100; hkl 2 0 1, 2θ 41.86, I = 37; hkl 2 1 0, 2θ 45.93, I = 68; hkl 1 0 2, 2θ 49.73, I = 64; hkl 2 1 1, 2θ 51.81, I = 35; hkl 3 0 1, 2θ 58.51, I = 25; hkl 1 1 2, 2θ 58.68, I = 27; hkl 0 2 0, 2θ 60.41, I = 25

Structure:
```
data_CoB
_space_group_name_H-M_alt 'P n m a'
_space_group_IT_number 62
_cell_length_a 5.169
_cell_length_b 3.065
_cell_length_c 3.922
_cell_angle_alpha 90.00
_cell_angle_beta 90.00
_cell_angle_gamma 90.00
loop_
_space_group_symop_operation_xyz
'x,y,z'
'-x,-y,-z'
'-x+1/2,-y,z+1/2'
'x+1/2,y,-z+1/2'
'x+1/2,-y+1/2,-z+1/2'
'-x+1/2,y+1/2,z+1/2'
'-x,y+1/2,-z'
'x,-y+1/2,z'
loop_
_atom_site_label
_atom_site_type_symbol
_atom_site_fract_x
_atom_site_fract_y
_atom_site_fract_z
Co1 Co 0.177 0.250 0.127
B1 B 0.032 0.250 0.624
```

Record 4
Diffraction record for FeCoSn4. The powder X-ray diffraction pattern is simulated, not measured: it uses the PBE geometry in the Materials Project and CuKα.
Lines closer than 0.1° are merged.

Principal peaks in the range 2θ = 5–70°, low angle first:
hkl 0 0 2, 2θ 32.75, I = 15; hkl 2 1 1, 2θ 35.52, I = 100; hkl 1 1 2, 2θ 38.51, I = 18; hkl 2 2 0, 2θ 40.02, I = 8; hkl 2 0 2, 2θ 43.62, I = 27; hkl 3 1 0, 2θ 44.98, I = 26; hkl 2 1 3, 2θ 60.26, I = 23; hkl 3 3 0, 2θ 61.76, I = 6; hkl 4 1 1, 2θ 62.44, I = 20; hkl 4 0 2, 2θ 68.11, I = 8

Structure:
```
data_FeCoSn4
_space_group_name_H-M_alt 'I 4 2 2'
_space_group_IT_number 97
_space_group_name_Hall 'I 4 2'
_cell_length_a 6.373
_cell_length_b 6.373
_cell_length_c 5.469
_cell_angle_alpha 90.00
_cell_angle_beta 90.00
_cell_angle_gamma 90.00
loop_
_atom_site_label
_atom_site_type_symbol
_atom_site_fract_x
_atom_site_fract_y
_atom_site_fract_z
Fe1 Fe 0.000 0.000 0.000
Co1 Co 0.000 0.000 0.500
Sn1 Sn 0.166 0.334 0.250
```